# 1
This entry pairs a crystal structure of SrLiN with its calculated X-ray powder pattern. Radiation: Cu Kα, 1.54184 Å. Structure: a DFT-relaxed cell (GGA-PBE, the Materials Project).
Peak positions follow from Bragg's law for the DFT cell and can differ from measured ones.

Principal peaks in the range 10° ≤ 2θ ≤ 90°, low angle first:
- 22.6 deg, I 100
- 25.1 deg, I 26
- 32.1 deg, I 37
- 34.0 deg, I 89
- 41.2 deg, I 55
- 46.1 deg, I 24
- 51.9 deg, I 21
- 53.2 deg, I 14
- 56.9 deg, I 16
- 58.5 deg, I 37
- 76.1 deg, I 13
- 81.9 deg, I 14

Structure:
```
6
Lattice="3.9415 0.0000 0.0000 0.0000 3.9415 0.0000 0.0000 0.0000 7.0949" Properties=species:S:1:pos:R:3 pbc="T T T"
Sr 0.0000 0.0000 1.7737
Sr 0.0000 0.0000 5.3212
Li 1.9708 1.9708 0.0000
Li 1.9708 1.9708 3.5475
N 0.0000 1.9708 0.0000
N 1.9708 0.0000 3.5475
```


# 2
This entry pairs a crystal structure of Sr2Li3TaN4 with its calculated X-ray powder pattern. Radiation: Cu Kα, 1.54184 Å. Structure: a DFT-relaxed cell (GGA-PBE, the Materials Project).
Peak positions follow from Bragg's law for the DFT cell and can differ from measured ones.

Principal peaks in the range 10° ≤ 2θ ≤ 90°, low angle first:
- 16.0 deg, I 53
- 20.3 deg, I 31
- 22.1 deg, I 59
- 25.3 deg, I 23
- 25.9 deg, I 36
- 28.4 deg, I 28
- 32.3 deg, I 100
- 32.7 deg, I 75
- 33.9 deg, I 80
- 38.5 deg, I 20
- 45.1 deg, I 37
- 53.4 deg, I 42

Structure:
```
40
Lattice="8.7430 0.0000 0.0000 0.0000 9.0359 0.0000 0.0000 0.0000 7.0413" Properties=species:S:1:pos:R:3 pbc="T T T"
Sr 0.0000 0.0000 1.6885
Sr 0.0000 0.0000 5.3528
Sr 2.1184 2.2218 3.5207
Sr 2.2532 6.7398 0.0000
Sr 4.3715 4.5180 1.8321
Sr 4.3715 4.5180 5.2092
Sr 6.4899 2.2962 0.0000
Sr 6.6247 6.8141 3.5207
Li 0.1658 5.7360 1.8479
Li 0.1658 5.7360 5.1934
Li 1.8000 5.2179 3.5207
Li 2.5715 0.6999 0.0000
Li 4.2057 1.2180 1.6727
Li 4.2057 1.2180 5.3686
Li 4.5374 7.8179 1.6727
Li 4.5374 7.8179 5.3686
Li 6.1715 8.3360 0.0000
Li 6.9430 3.8181 3.5207
Li 8.5772 3.2999 1.8479
Li 8.5772 3.2999 5.1934
Ta 1.8738 3.2756 0.0000
Ta 2.4977 7.7936 3.5207
Ta 6.2453 1.2424 3.5207
Ta 6.8693 5.7604 0.0000
N 0.4144 1.9535 0.0000
N 0.6478 7.0403 3.5207
N 1.7305 4.3449 1.6478
N 1.7305 4.3449 5.3935
N 2.6411 8.8629 1.8729
N 2.6411 8.8629 5.1685
N 3.7237 2.5223 0.0000
N 3.9571 6.4715 3.5207
N 4.7860 2.5644 3.5207
N 5.0193 6.5136 0.0000
N 6.1020 0.1731 1.8729
N 6.1020 0.1731 5.1685
N 7.0126 4.6910 1.6478
N 7.0126 4.6910 5.3935
N 8.0952 1.9957 3.5207
N 8.3286 7.0824 0.0000
```


# 3
This entry pairs a crystal structure of LiTaN2 with its calculated X-ray powder pattern. Radiation: Cu Kα, 1.54184 Å. Structure: a DFT-relaxed cell (GGA-PBE, the Materials Project).
Peak positions follow from Bragg's law for the DFT cell and can differ from measured ones.

Principal peaks in the range 10° ≤ 2θ ≤ 90°, low angle first:
- 23.3 deg, I 100
- 35.9 deg, I 66
- 36.0 deg, I 14
- 38.7 deg, I 18
- 43.0 deg, I 13
- 43.2 deg, I 14
- 49.5 deg, I 13
- 49.6 deg, I 13
- 53.8 deg, I 12
- 59.2 deg, I 10
- 59.4 deg, I 10
- 71.3 deg, I 10

Structure:
```
32
Lattice="4.1873 0.0000 0.0000 0.0000 18.6361 0.0000 -0.0005 0.0000 4.2030" Properties=species:S:1:pos:R:3 pbc="T T T"
Li 0.0038 1.1687 1.0446
Li 0.0036 8.1494 3.1461
Li 2.0844 12.8040 1.0667
Li 2.0842 15.1502 3.1682
Li 2.1026 3.4859 1.0348
Li 2.1024 5.8321 3.1363
Li 4.1832 10.4868 1.0569
Li 4.1830 17.4674 3.1584
Ta 0.0267 3.4950 3.0678
Ta 0.0270 5.8231 0.9663
Ta 2.0528 10.4819 3.1146
Ta 2.0530 17.4724 1.0131
Ta 2.1338 1.1638 3.1899
Ta 2.1340 8.1543 1.0884
Ta 4.1598 12.8130 3.2367
Ta 4.1600 15.1412 1.1352
N 0.0044 3.7133 1.0516
N 0.0041 5.6047 3.1531
N 0.0035 10.7036 3.1716
N 0.0038 17.2506 1.0701
N 2.0921 0.9450 1.0374
N 2.0937 3.2748 3.1523
N 2.0939 6.0433 1.0508
N 2.0919 8.3730 3.1389
N 2.0949 10.2631 1.0641
N 2.0929 12.5928 3.1522
N 2.0931 15.3614 1.0507
N 2.0947 17.6911 3.1656
N 4.1830 1.3855 3.1329
N 4.1832 7.9326 1.0314
N 4.1826 13.0314 1.0499
N 4.1824 14.9228 3.1514
```


# 4
This entry pairs a crystal structure of LiTaN2 with its calculated X-ray powder pattern. Radiation: Cu Kα, 1.54184 Å. Structure: a DFT-relaxed cell (GGA-PBE, the Materials Project).
Peak positions follow from Bragg's law for the DFT cell and can differ from measured ones.

Principal peaks in the range 10° ≤ 2θ ≤ 90°, low angle first:
- 16.9 deg, I 100
- 34.2 deg, I 31
- 35.3 deg, I 60
- 38.4 deg, I 23
- 43.1 deg, I 51
- 56.1 deg, I 25
- 61.2 deg, I 14
- 64.0 deg, I 18
- 72.0 deg, I 13
- 72.5 deg, I 9
- 72.7 deg, I 8
- 77.8 deg, I 9

Structure:
```
8
Lattice="3.0276 0.0000 0.0000 -1.5138 2.6220 0.0000 0.0000 0.0000 10.5176" Properties=species:S:1:pos:R:3 pbc="T T T"
Li 0.0000 0.0000 0.0000
Li 0.0000 0.0000 5.2588
Ta 0.0000 1.7480 2.6294
Ta 1.5138 0.8740 7.8882
N 0.0000 1.7480 6.6545
N 0.0000 1.7480 9.1219
N 1.5138 0.8740 1.3957
N 1.5138 0.8740 3.8631
```


# 5
This entry pairs a crystal structure of Li2Ta3N5 with its calculated X-ray powder pattern. Radiation: Cu Kα, 1.54184 Å. Structure: a DFT-relaxed cell (GGA-PBE, the Materials Project).
Peak positions follow from Bragg's law for the DFT cell and can differ from measured ones.

Principal peaks in the range 10° ≤ 2θ ≤ 90°, low angle first:
- 20.3 deg, I 41
- 22.9 deg, I 100
- 27.6 deg, I 32
- 35.9 deg, I 85
- 36.0 deg, I 88
- 37.8 deg, I 19
- 40.8 deg, I 49
- 41.8 deg, I 45
- 42.8 deg, I 44
- 60.6 deg, I 30
- 61.4 deg, I 29
- 73.9 deg, I 24

Structure:
```
20
Lattice="4.9331 -2.1131 0.0000 4.9331 2.1131 0.0000 -0.1614 0.0000 9.6899" Properties=species:S:1:pos:R:3 pbc="T T T"
Li 0.3753 0.0000 3.3627
Li 1.4395 0.0000 0.4685
Li 8.2652 0.0000 9.2213
Li 9.3295 0.0000 6.3272
Ta 2.4686 0.0000 7.3245
Ta 3.4467 0.0000 4.3847
Ta 4.3682 0.0000 1.3928
Ta 5.3365 0.0000 8.2971
Ta 6.2580 0.0000 5.3051
Ta 7.2361 0.0000 2.3654
N 0.5293 0.0000 8.1785
N 1.4300 0.0000 5.3242
N 2.4209 0.0000 2.4176
N 3.4072 0.0000 9.1730
N 4.3704 0.0000 6.3255
N 5.3344 0.0000 3.3644
N 6.2976 0.0000 0.5168
N 7.2838 0.0000 7.2723
N 8.2747 0.0000 4.3657
N 9.1755 0.0000 1.5113
```